The following is a computed powder diffractogram of CaBHO3. It was derived from a crystal structure in the Materials Project, relaxed with GGA-PBE, using a wavelength of 1.5418 Å.
Intensities are scaled so that the largest is 1000.

Peak list (12 most intense, 2θ from 5° to 70°, low angle first)
2theta  intensity  (hkl)
14.85  234  0 1 1
23.34  210  0 0 2
26.58  275  1 0 0
29.92  1000  0 2 2
32.60  335  1 2 0
34.08  779  1 2 -2
40.18  261  0 2 3
43.66  266  1 3 1
45.58  185  0 3 3
46.59  169  1 4 0
47.70  301  1 4 -2
53.45  184  1 1 3

Cell: 3.5982 9.5859 8.1817 Å, 90.00 111.33 90.00°
Fractional positions:
Ca (0.0819, 0.0073, 0.2911)
Ca (0.0819, 0.4927, 0.7911)
Ca (0.9181, 0.5073, 0.2089)
Ca (0.9181, 0.9927, 0.7089)
B (0.2970, 0.2359, 0.0780)
B (0.2970, 0.2641, 0.5780)
B (0.7030, 0.7359, 0.4220)
B (0.7030, 0.7641, 0.9220)
H (0.1928, 0.7360, 0.6439)
H (0.1928, 0.7640, 0.1439)
H (0.8072, 0.2360, 0.8561)
H (0.8072, 0.2640, 0.3561)
O (0.0058, 0.1659, 0.9352)
O (0.0058, 0.3341, 0.4352)
O (0.3142, 0.1204, 0.5754)
O (0.3142, 0.3796, 0.0754)
O (0.4718, 0.6546, 0.2857)
O (0.4718, 0.8454, 0.7857)
O (0.5282, 0.1546, 0.2143)
O (0.5282, 0.3454, 0.7143)
O (0.6858, 0.6204, 0.9246)
O (0.6858, 0.8796, 0.4246)
O (0.9942, 0.6659, 0.5648)
O (0.9942, 0.8341, 0.0648)